1.
Diffraction record for BiAuBr6. The PXRD pattern is calculated, not measured: it uses a cell relaxed with GGA-PBE and Cu Kα X-rays.

Crystal structure
```
BiAuBr6
1.0
5.9420 0.0000 0.0000
0.6167 7.2908 0.0000
2.5697 2.6893 7.2453
Bi Au Br
1 1 6
Cartesian
0.0000 0.0000 0.0000
3.2793 3.6454 0.0000
1.5244 6.7506 2.5755
4.0344 5.0033 6.0914
5.1726 8.2696 5.8373
3.9558 1.7105 1.4080
5.0940 4.9768 1.1539
7.6040 3.2295 4.6698
```

The 6 most intense peaks (2θ = 10–80°), by angle:
2θ (°), I_rel
12.22, 100
18.72, 42
20.10, 30
23.75, 58
31.73, 27
32.63, 23

***

2.
Diffraction record for BiAuBr. The PXRD pattern is calculated, not measured: it uses a cell relaxed with GGA-PBE and Cu Kα X-rays.

Crystal structure
```
BiAuBr
1.0
4.0641 0.0000 0.0000
2.0319 3.5218 0.0000
0.1004 0.1358 12.6046
Bi Au Br
2 2 2
Cartesian
0.0508 0.0708 3.8453
6.1456 3.5868 8.7593
2.0820 1.2409 7.0863
4.1144 2.4168 5.5183
2.0822 1.2416 1.8047
4.1142 2.4161 10.7999
```

The 6 most intense peaks (2θ = 10–80°), by angle:
2θ (°), I_rel
28.91, 71
29.04, 75
29.21, 79
33.01, 55
33.18, 51
44.58, 100

***

3.
Diffraction record for Bi5AuBr2. The PXRD pattern is calculated, not measured: it uses a cell relaxed with GGA-PBE and Cu Kα X-rays.

Crystal structure
```
Bi5AuBr2
1.0
14.7093 0.0000 0.0000
0.0000 8.9216 0.0000
-0.6819 0.0000 4.4965
Bi Au Br
10 2 4
Cartesian
0.0000 0.0000 0.0000
4.1860 2.7445 3.4910
4.1860 6.1772 3.4910
6.5857 1.8827 1.6912
6.5857 7.0389 1.6912
7.3547 4.4608 0.0000
11.5407 1.7164 3.4910
11.5407 7.2053 3.4910
13.9403 2.5781 1.6912
13.9403 6.3435 1.6912
5.1305 0.0000 0.0947
12.4852 4.4608 0.0947
0.7754 4.4608 3.8867
2.4567 0.0000 2.7030
8.1301 0.0000 3.8867
9.8113 4.4608 2.7030
```

The 6 most intense peaks (2θ = 10–80°), by angle:
2θ (°), I_rel
12.17, 100
21.62, 32
26.87, 36
28.18, 30
32.00, 59
35.41, 44

***

4.
Diffraction record for K2BiAuBr6. The PXRD pattern is calculated, not measured: it uses a cell relaxed with GGA-PBE and Cu Kα X-rays.

Crystal structure
```
K2BiAuBr6
1.0
7.9577 0.0000 0.0000
3.9713 7.1373 0.0000
0.3441 4.3244 7.1352
K Bi Au Br
2 1 1 6
Cartesian
0.0000 0.0000 0.0000
3.9325 2.2745 3.1190
7.8819 4.8083 0.5842
4.6708 7.9798 5.6422
0.8661 2.4822 1.9796
3.4133 4.0779 5.9387
5.5951 5.0458 2.1116
6.9436 7.1118 5.6675
9.3980 6.5212 2.1403
10.4689 9.0826 5.5141
```

The 6 most intense peaks (2θ = 10–80°), by angle:
2θ (°), I_rel
12.41, 51
13.33, 54
14.51, 100
15.72, 49
25.44, 95
33.83, 55

***

5.
Diffraction record for Ca4BiAu. The PXRD pattern is calculated, not measured: it uses a cell relaxed with GGA-PBE and Cu Kα X-rays.

Crystal structure
```
Ca4BiAu
1.0
4.9169 -7.0142 0.0000
4.9169 7.0142 0.0000
-3.4740 0.0000 5.8148
Ca Bi Au
8 2 2
Cartesian
0.5941 4.5898 5.3003
0.3934 0.8952 4.1111
4.0286 4.5898 3.4219
2.1304 -0.8952 1.2037
4.2294 0.8952 4.6111
2.3311 -4.5898 2.3929
5.9664 -0.8952 1.7037
5.7656 -4.5898 0.5145
4.0484 1.9061 1.4537
2.3114 -1.9061 4.3611
2.3114 6.9786 4.3611
4.0484 -6.9786 1.4537
```

The 6 most intense peaks (2θ = 10–80°), by angle:
2θ (°), I_rel
12.62, 63
14.77, 60
21.05, 68
21.73, 100
33.07, 74
36.49, 60

***

6.
Diffraction record for Ca2BiAu6. The PXRD pattern is calculated, not measured: it uses a cell relaxed with GGA-PBE and Cu Kα X-rays.

Crystal structure
```
Ca2BiAu6
1.0
7.6812 -3.7189 0.0000
7.6812 3.7189 0.0000
-0.9618 0.0000 3.7261
Ca Bi Au
2 1 6
Cartesian
0.0000 0.0000 0.0000
10.6143 0.0000 2.7403
5.5574 0.0000 3.4277
5.2881 2.2689 1.3666
7.9957 1.4645 2.0679
10.3671 2.2867 0.6849
5.2881 -2.2689 1.3666
7.9957 -1.4645 2.0679
10.3671 -2.2867 0.6849
```

The 6 most intense peaks (2θ = 10–80°), by angle:
2θ (°), I_rel
23.91, 79
28.75, 56
34.07, 100
38.24, 75
40.69, 61
45.61, 43

***

7.
Diffraction record for Ca8Bi5Au. The PXRD pattern is calculated, not measured: it uses a cell relaxed with GGA-PBE and Cu Kα X-rays.

Crystal structure
```
Ca8Bi5Au
1.0
-4.8184 4.8184 4.8300
4.8184 -4.8184 4.8300
4.8184 4.8184 -4.8300
Ca Bi Au
8 5 1
Cartesian
4.1348 3.1395 -1.9661
6.5560 0.7405 0.6102
0.7405 3.0809 -0.6102
0.6836 1.6789 2.8639
4.0780 1.7375 4.2198
1.6789 -0.6836 6.7960
3.1395 5.5021 1.9661
-1.7375 4.0780 5.4401
0.0000 0.0000 0.0000
2.3997 -1.2635 3.7003
3.5550 2.4188 1.1297
2.4188 6.0819 -1.1297
1.2635 2.3997 5.9597
0.0000 4.8184 2.4150
```

The 6 most intense peaks (2θ = 10–80°), by angle:
2θ (°), I_rel
22.58, 100
29.28, 89
34.80, 57
41.89, 41
44.04, 27
59.08, 26

***

8.
Diffraction record for Ca4BiAu3. The PXRD pattern is calculated, not measured: it uses a cell relaxed with GGA-PBE and Cu Kα X-rays.

Crystal structure
```
Ca4BiAu3
1.0
15.6516 0.0000 0.0000
0.0000 5.2949 0.0000
-1.7846 0.0000 4.9852
Ca Bi Au
8 2 6
Cartesian
1.7995 0.0000 0.6458
0.9071 2.6475 3.1390
5.1341 0.0000 1.8462
4.2417 2.6475 4.3394
8.7329 0.0000 3.1390
9.6253 2.6475 0.6458
12.0675 0.0000 4.3394
12.9599 2.6475 1.8462
-0.8923 0.0000 2.4926
6.9335 2.6475 2.4926
0.0000 2.6475 0.0000
3.4235 2.6475 1.2269
2.6177 0.0000 3.7582
7.8258 0.0000 0.0000
11.2493 0.0000 1.2269
10.4435 2.6475 3.7582
```

The 6 most intense peaks (2θ = 10–80°), by angle:
2θ (°), I_rel
23.76, 51
24.16, 25
33.86, 51
34.14, 100
42.03, 25
60.76, 38

***

9.
Diffraction record for Ca2Ga3BiAu12. The PXRD pattern is calculated, not measured: it uses a cell relaxed with GGA-PBE and Cu Kα X-rays.

Crystal structure
```
Ca2Ga3BiAu12
1.0
3.4503 1.9920 10.0074
-3.4503 1.9920 10.0074
0.0000 -3.9840 10.0074
Ca Ga Bi Au
2 3 1 12
Cartesian
0.0000 0.0000 4.0963
0.0000 0.0000 25.9258
-1.7251 -0.9960 10.0074
-1.7251 0.9960 20.0147
0.0000 1.9920 10.0074
0.0000 0.0000 15.0110
-1.9969 -1.1529 13.2880
0.0000 -2.3638 8.6641
-2.0471 1.1819 8.6641
-2.0471 -1.1819 21.3580
0.0000 -2.3058 16.7341
-1.9969 1.1529 16.7341
1.9969 -1.1529 13.2880
0.0000 2.3058 13.2880
2.0471 1.1819 8.6641
2.0471 -1.1819 21.3580
0.0000 2.3638 21.3580
1.9969 1.1529 16.7340
```

The 6 most intense peaks (2θ = 10–80°), by angle:
2θ (°), I_rel
18.98, 93
32.25, 85
36.18, 34
38.51, 100
42.72, 45
46.48, 40

***

10.
Diffraction record for Ca2BiPd3Au12. The PXRD pattern is calculated, not measured: it uses a cell relaxed with GGA-PBE and Cu Kα X-rays.

Crystal structure
```
Ca2BiPd3Au12
1.0
3.5785 2.0661 9.2851
-3.5785 2.0661 9.2851
0.0000 -4.1321 9.2851
Ca Bi Pd Au
2 1 3 12
Cartesian
0.0000 0.0000 3.8793
0.0000 0.0000 23.9762
0.0000 0.0000 13.9277
-1.7893 -1.0330 9.2851
-1.7892 1.0330 18.5703
0.0000 2.0660 9.2851
-2.0474 -1.1821 12.2184
0.0000 -2.5449 7.9987
-2.2040 1.2725 7.9987
-2.2040 -1.2725 19.8568
0.0000 -2.3641 15.6370
-2.0474 1.1821 15.6370
2.0474 -1.1821 12.2184
0.0000 2.3641 12.2184
2.2040 1.2725 7.9986
2.2040 -1.2725 19.8568
0.0000 2.5449 19.8568
2.0474 1.1821 15.6370
```

The 6 most intense peaks (2θ = 10–80°), by angle:
2θ (°), I_rel
19.17, 100
31.60, 89
38.41, 50
38.91, 98
43.69, 47
44.93, 83

***

11.
Diffraction record for Cd9BiAu2. The PXRD pattern is calculated, not measured: it uses a cell relaxed with GGA-PBE and Cu Kα X-rays.

Crystal structure
```
Cd9BiAu2
1.0
-6.8126 6.8126 3.0379
6.8126 -6.8126 3.0379
6.8126 6.8126 -3.0379
Cd Bi Au
18 2 4
Cartesian
4.5630 1.6792 -0.7012
9.0621 1.6792 -0.7012
5.0855 7.9693 -2.2201
1.7271 1.1568 0.8178
4.5630 5.1334 -0.7012
2.2495 -1.6792 2.3367
6.8126 3.4063 0.7595
5.0855 1.1568 2.2201
8.5396 1.1568 2.2201
-1.7271 5.6558 0.8178
1.7271 5.6558 0.8178
0.0000 3.4063 2.2784
4.5630 8.4918 0.7012
2.2495 1.6792 3.7391
5.0855 5.6558 2.2201
1.7271 -1.1568 5.2580
-2.2495 5.1334 3.7391
2.2495 5.1334 3.7391
6.8126 -3.4063 2.2784
0.0000 10.2189 0.7595
6.8126 0.0000 0.0000
-3.4063 3.4063 1.5189
0.0000 0.0000 3.0379
3.4063 3.4063 1.5189
```

The 6 most intense peaks (2θ = 10–80°), by angle:
2θ (°), I_rel
27.80, 29
29.31, 29
36.16, 100
37.33, 37
43.04, 15
60.01, 20

***

12.
Diffraction record for Cd2BiAu. The PXRD pattern is calculated, not measured: it uses a cell relaxed with GGA-PBE and Cu Kα X-rays.

Crystal structure
```
Cd2BiAu
1.0
4.7031 0.0000 0.0000
-2.3515 4.0730 0.0000
0.0000 0.0000 16.1236
Cd Bi Au
6 3 3
Cartesian
0.0000 0.0000 0.0000
0.0000 0.0000 3.3970
0.0000 2.7153 10.7491
0.0000 2.7153 14.1461
2.3515 1.3577 5.3745
2.3515 1.3577 8.7715
0.0000 0.0000 6.9213
0.0000 2.7153 1.5468
2.3515 1.3577 12.2958
0.0000 0.0000 9.8656
0.0000 2.7153 4.4910
2.3515 1.3577 15.2401
```

The 6 most intense peaks (2θ = 10–80°), by angle:
2θ (°), I_rel
22.52, 37
24.49, 28
35.51, 100
38.27, 91
53.20, 31
67.41, 31